[1]
For DyPu2Cu2Ge2, a structure optimized by DFT (GGA-PBE) gives the calculated XRD peak list in this record (CuKα).
Peak positions follow from Bragg's law for the DFT cell and can differ from measured ones.

Largest 10 diffraction maxima, sorted by position, 2θ = 5–70°:
9.96 deg, d 8.881, rel. 56, hkl 0 0 3; 20.00 deg, d 4.440, rel. 16, hkl 0 0 6; 25.77 deg, d 3.458, rel. 33, hkl 1 0 1; 30.64 deg, d 2.918, rel. 15, hkl 0 1 5; 34.89 deg, d 2.571, rel. 100, hkl 1 0 7; 37.34 deg, d 2.408, rel. 20, hkl 0 1 8; 40.64 deg, d 2.220, rel. 12, hkl 0 0 12; 45.03 deg, d 2.013, rel. 70, hkl 1 1 0; 58.20 deg, d 1.585, rel. 23, hkl 0 2 7; 62.25 deg, d 1.491, rel. 19, hkl 1 1 12

Cell lengths 4.0267, 4.0267, 26.6421 Å; angles 90.00, 90.00, 120.00 degrees
Space group R-3m (No. 166, hexagonal axes)
Unique sites:
1 Dy 0.0000 0.0000 0.0000 x3
2 Pu 0.0000 0.0000 0.1508 x6
3 Cu 0.0000 0.0000 0.4117 x6
4 Ge 0.0000 0.0000 0.2610 x6

[2]
For DyCuH, a structure optimized by DFT (GGA-PBE) gives the calculated XRD peak list in this record (CuKα).
Peak positions follow from Bragg's law for the DFT cell and can differ from measured ones.

Largest 10 diffraction maxima, sorted by position, 2θ = 5–70°:
26.64 deg, d 3.346, rel. 45, hkl 1 1 1; 29.95 deg, d 2.983, rel. 100, hkl 0 0 2; 32.60 deg, d 2.747, rel. 47, hkl 0 2 0; 37.50 deg, d 2.398, rel. 43, hkl 2 1 1; 42.88 deg, d 2.109, rel. 30, hkl 2 0 2; 44.85 deg, d 2.021, rel. 66, hkl 0 2 2; 54.88 deg, d 1.673, rel. 29, hkl 2 2 2; 58.21 deg, d 1.585, rel. 12, hkl 2 1 3; 61.43 deg, d 1.509, rel. 10, hkl 2 3 1; 66.96 deg, d 1.397, rel. 20, hkl 4 1 1

Cell lengths 5.957, 5.494, 5.973 Å; angles 90.00, 90.00, 90.00 degrees
Space group Aem2 (No. 39)
Unique sites:
1 Dy 0.202 0.250 0.000 x4
2 Cu 0.300 0.250 0.501 x4
3 H 0.500 0.000 0.008 x4

[3]
For Dy2CuHRh6, a structure optimized by DFT (GGA-PBE) gives the calculated XRD peak list in this record (CuKα).
Peak positions follow from Bragg's law for the DFT cell and can differ from measured ones.

Largest 10 diffraction maxima, sorted by position, 2θ = 5–70°:
29.39 deg, d 3.039, rel. 14, hkl 0 2 0; 34.61 deg, d 2.591, rel. 5, hkl 1 0 3; 36.20 deg, d 2.481, rel. 100, hkl 2 0 2; 42.05 deg, d 2.149, rel. 66, hkl 2 2 0; 46.02 deg, d 1.972, rel. 9, hkl 2 1 3; 52.13 deg, d 1.754, rel. 4, hkl 3 1 2; 55.53 deg, d 1.655, rel. 5, hkl 0 3 3; 60.88 deg, d 1.522, rel. 7, hkl 0 4 0; 61.00 deg, d 1.519, rel. 33, hkl 4 0 0; 69.11 deg, d 1.359, rel. 4, hkl 2 4 0

Cell lengths 6.071, 6.086, 8.592 Å; angles 90.00, 90.00, 90.00 degrees
Space group Immm (No. 71)
Unique sites:
1 Dy 0.000 0.000 0.250 x4
2 Cu 0.000 0.500 0.000 x2
3 H 0.000 0.500 0.500 x2
4 Rh 0.000 0.500 0.276 x4
5 Rh 0.225 0.276 0.500 x8

[4]
For Dy2CuHg3, a structure optimized by DFT (GGA-PBE) gives the calculated XRD peak list in this record (CuKα).
Peak positions follow from Bragg's law for the DFT cell and can differ from measured ones.

Largest 10 diffraction maxima, sorted by position, 2θ = 5–70°:
33.74 deg, d 2.657, rel. 100, hkl 1 1 1; 37.45 deg, d 2.401, rel. 53, hkl 0 1 3; 37.70 deg, d 2.386, rel. 28, hkl 0 2 0; 51.17 deg, d 1.785, rel. 10, hkl 1 0 4; 51.43 deg, d 1.777, rel. 19, hkl 1 2 2; 52.95 deg, d 1.729, rel. 11, hkl 2 0 0; 65.28 deg, d 1.429, rel. 10, hkl 1 2 4; 65.55 deg, d 1.424, rel. 10, hkl 1 3 1; 66.65 deg, d 1.403, rel. 20, hkl 2 1 3; 66.81 deg, d 1.400, rel. 11, hkl 2 2 0

Cell lengths 3.458, 4.773, 8.336 Å; angles 90.00, 90.00, 90.00 degrees
Space group Pmm2 (No. 25)
Unique sites:
1 Dy 0.000 0.000 0.000 x1
2 Dy 0.000 0.500 0.472 x1
3 Cu 0.500 0.000 0.309 x1
4 Hg 0.500 0.000 0.628 x1
5 Hg 0.500 0.500 0.162 x1
6 Hg 0.500 0.500 0.818 x1

[5]
For Dy6CuHg, a structure optimized by DFT (GGA-PBE) gives the calculated XRD peak list in this record (CuKα).
Peak positions follow from Bragg's law for the DFT cell and can differ from measured ones.

Largest 10 diffraction maxima, sorted by position, 2θ = 5–70°:
32.43 deg, d 2.761, rel. 100, hkl 1 1 4; 35.63 deg, d 2.520, rel. 44, hkl 2 0 0; 39.99 deg, d 2.254, rel. 6, hkl 1 1 6; 41.36 deg, d 2.183, rel. 9, hkl 0 0 8; 47.74 deg, d 1.905, rel. 5, hkl 2 0 6; 51.27 deg, d 1.782, rel. 16, hkl 2 2 0; 55.71 deg, d 1.650, rel. 15, hkl 2 0 8; 58.89 deg, d 1.568, rel. 7, hkl 1 1 10; 61.98 deg, d 1.497, rel. 31, hkl 3 1 4; 67.90 deg, d 1.380, rel. 8, hkl 2 2 8

Cell lengths 5.040, 5.040, 17.465 Å; angles 90.00, 90.00, 90.00 degrees
Space group I4/mmm (No. 139)
Unique sites:
1 Dy 0.000 0.000 0.250 x4
2 Dy 0.000 0.500 0.106 x8
3 Cu 0.000 0.000 0.000 x2
4 Hg 0.000 0.000 0.500 x2

[6]
For Dy12Cu6Hg, a structure optimized by DFT (GGA-PBE) gives the calculated XRD peak list in this record (CuKα).
Peak positions follow from Bragg's law for the DFT cell and can differ from measured ones.

Largest 10 diffraction maxima, sorted by position, 2θ = 5–70°:
28.75 deg, d 3.105, rel. 33, hkl 3 1 0; 31.57 deg, d 2.834, rel. 49, hkl 2 2 2; 34.17 deg, d 2.624, rel. 100, hkl 3 2 1; 36.61 deg, d 2.455, rel. 21, hkl 4 0 0; 38.92 deg, d 2.314, rel. 11, hkl 3 3 0; 47.20 deg, d 1.926, rel. 19, hkl 5 1 0; 54.49 deg, d 1.684, rel. 31, hkl 5 0 3; 56.21 deg, d 1.636, rel. 11, hkl 6 0 0; 57.90 deg, d 1.593, rel. 36, hkl 5 3 2; 67.45 deg, d 1.389, rel. 20, hkl 5 4 3

Cell lengths 9.818, 9.818, 9.818 Å; angles 90.00, 90.00, 90.00 degrees
Space group Im-3 (No. 204)
Unique sites:
1 Dy 0.000 0.189 0.295 x24
2 Cu 0.000 0.376 0.500 x12
3 Hg 0.000 0.000 0.000 x2

[7]
For Dy4Cu2Hg, a structure optimized by DFT (GGA-PBE) gives the calculated XRD peak list in this record (CuKα).
Peak positions follow from Bragg's law for the DFT cell and can differ from measured ones.

Largest 10 diffraction maxima, sorted by position, 2θ = 5–70°:
29.85 deg, d 2.994, rel. 72, hkl -1 1 2; 31.84 deg, d 2.811, rel. 87, hkl 2 -1 1; 32.28 deg, d 2.773, rel. 59, hkl 1 2 -1; 32.72 deg, d 2.737, rel. 100, hkl -2 1 2; 32.94 deg, d 2.719, rel. 68, hkl 1 2 -2; 33.68 deg, d 2.661, rel. 87, hkl 0 1 2; 34.03 deg, d 2.634, rel. 65, hkl 2 -2 1; 34.67 deg, d 2.587, rel. 90, hkl 0 1 -3; 35.82 deg, d 2.507, rel. 54, hkl 2 0 1; 39.45 deg, d 2.284, rel. 61, hkl 1 -3 0

Cell lengths 7.028, 7.204, 8.097 Å; angles 107.75, 106.38, 105.41 degrees
Space group P1 (No. 1)
Unique sites:
1 Dy 0.000 0.000 0.000 x1
2 Dy 0.015 0.413 0.814 x1
3 Dy 0.244 0.780 0.649 x1
4 Dy 0.355 0.537 0.260 x1
5 Dy 0.437 0.134 0.459 x1
6 Dy 0.571 0.544 0.888 x1
7 Dy 0.785 0.358 0.226 x1
8 Dy 0.868 0.947 0.408 x1
9 Cu 0.051 0.723 0.197 x1
10 Cu 0.162 0.345 0.483 x1
11 Cu 0.338 0.196 0.917 x1
12 Cu 0.651 0.121 0.821 x1
13 Hg 0.437 0.895 0.077 x1
14 Hg 0.750 0.636 0.601 x1

[8]
For Dy3HoCu4, a structure optimized by DFT (GGA-PBE) gives the calculated XRD peak list in this record (CuKα).
Peak positions follow from Bragg's law for the DFT cell and can differ from measured ones.

Largest 10 diffraction maxima, sorted by position, 2θ = 5–70°:
25.68 deg, d 3.470, rel. 20, hkl 0 1 2; 25.83 deg, d 3.450, rel. 10, hkl 1 0 0; 36.63 deg, d 2.453, rel. 50, hkl 0 2 0; 36.74 deg, d 2.446, rel. 100, hkl 1 1 2; 45.36 deg, d 1.999, rel. 9, hkl 1 2 0; 52.77 deg, d 1.735, rel. 17, hkl 0 2 4; 53.10 deg, d 1.725, rel. 9, hkl 2 0 0; 59.62 deg, d 1.551, rel. 8, hkl 1 2 4; 66.02 deg, d 1.415, rel. 35, hkl 1 3 2; 66.23 deg, d 1.411, rel. 17, hkl 2 2 0

Cell lengths 3.450, 4.907, 9.813 Å; angles 90.00, 90.00, 90.00 degrees
Space group Pmmm (No. 47)
Unique sites:
1 Dy 0.000 0.000 0.000 x1
2 Dy 0.000 0.500 0.250 x2
3 Ho 0.000 0.000 0.500 x1
4 Cu 0.500 0.000 0.251 x2
5 Cu 0.500 0.500 0.000 x1
6 Cu 0.500 0.500 0.500 x1

[9]
For Dy2HoCu2, a structure optimized by DFT (GGA-PBE) gives the calculated XRD peak list in this record (CuKα).
Peak positions follow from Bragg's law for the DFT cell and can differ from measured ones.

Largest 10 diffraction maxima, sorted by position, 2θ = 5–70°:
25.70 deg, d 3.467, rel. 9, hkl 1 0 -1; 27.20 deg, d 3.279, rel. 22, hkl 0 1 3; 34.65 deg, d 2.589, rel. 18, hkl 0 0 5; 35.61 deg, d 2.521, rel. 29, hkl 0 2 0; 35.73 deg, d 2.513, rel. 100, hkl 1 1 2; 50.53 deg, d 1.806, rel. 12, hkl 0 2 5; 52.30 deg, d 1.749, rel. 10, hkl 2 0 -1; 59.92 deg, d 1.544, rel. 13, hkl 1 2 5; 64.03 deg, d 1.454, rel. 18, hkl 1 3 2; 64.88 deg, d 1.437, rel. 10, hkl 2 2 -1

Cell lengths 3.498, 5.043, 13.062 Å; angles 90.00, 97.69, 90.00 degrees
Space group P2_1/m (No. 11)
Unique sites:
1 Dy 0.047 0.250 0.094 x2
2 Dy 0.230 0.250 0.460 x2
3 Ho 0.142 0.750 0.283 x2
4 Cu 0.359 0.750 0.720 x2
5 Cu 0.453 0.250 0.907 x2

[10]
For DyHo4Cu2, a structure optimized by DFT (GGA-PBE) gives the calculated XRD peak list in this record (CuKα).
Peak positions follow from Bragg's law for the DFT cell and can differ from measured ones.

Largest 10 diffraction maxima, sorted by position, 2θ = 5–70°:
26.27 deg, d 3.393, rel. 100, hkl 0 1 5; 37.43 deg, d 2.403, rel. 79, hkl 1 1 0; 37.55 deg, d 2.396, rel. 79, hkl 1 0 10; 46.30 deg, d 1.961, rel. 22, hkl 2 0 5; 46.50 deg, d 1.953, rel. 7, hkl 0 0 15; 54.06 deg, d 1.696, rel. 27, hkl 0 2 10; 60.99 deg, d 1.519, rel. 20, hkl 1 2 5; 61.15 deg, d 1.516, rel. 19, hkl 1 1 15; 67.57 deg, d 1.386, rel. 42, hkl 3 0 0; 67.83 deg, d 1.382, rel. 14, hkl 0 1 20

Cell lengths 4.8058, 4.8058, 29.2945 Å; angles 90.00, 90.00, 120.00 degrees
Space group R-3m (No. 166, hexagonal axes)
Unique sites:
1 Dy 0.0000 0.0000 0.0000 x3
2 Ho 0.0000 0.0000 0.2004 x6
3 Ho 0.0000 0.0000 0.4013 x6
4 Cu 0.0000 0.0000 0.1008 x6

[11]
For DyHo2Cu2, a structure optimized by DFT (GGA-PBE) gives the calculated XRD peak list in this record (CuKα).
Peak positions follow from Bragg's law for the DFT cell and can differ from measured ones.

Largest 10 diffraction maxima, sorted by position, 2θ = 5–70°:
25.76 deg, d 3.459, rel. 9, hkl 1 0 -1; 27.24 deg, d 3.274, rel. 22, hkl 0 1 3; 34.74 deg, d 2.582, rel. 18, hkl 0 0 5; 35.60 deg, d 2.522, rel. 29, hkl 0 2 0; 35.79 deg, d 2.509, rel. 100, hkl 1 1 2; 50.59 deg, d 1.804, rel. 12, hkl 0 2 5; 52.43 deg, d 1.745, rel. 10, hkl 2 0 -1; 60.05 deg, d 1.541, rel. 9, hkl 1 2 -6; 64.06 deg, d 1.454, rel. 18, hkl 1 3 2; 64.99 deg, d 1.435, rel. 10, hkl 2 2 -1

Cell lengths 3.490, 5.044, 13.027 Å; angles 90.00, 97.68, 90.00 degrees
Space group P2_1/m (No. 11)
Unique sites:
1 Dy 0.142 0.250 0.283 x2
2 Ho 0.047 0.750 0.093 x2
3 Ho 0.230 0.750 0.460 x2
4 Cu 0.359 0.250 0.720 x2
5 Cu 0.454 0.750 0.908 x2

[12]
For K2DyCuI6, a structure optimized by DFT (GGA-PBE) gives the calculated XRD peak list in this record (CuKα).
Peak positions follow from Bragg's law for the DFT cell and can differ from measured ones.

Largest 10 diffraction maxima, sorted by position, 2θ = 5–70°:
14.05 deg, d 6.305, rel. 100, hkl 1 1 -1; 16.83 deg, d 5.267, rel. 39, hkl 0 0 2; 22.97 deg, d 3.872, rel. 54, hkl 2 1 -2; 23.20 deg, d 3.834, rel. 44, hkl 1 2 0; 27.38 deg, d 3.257, rel. 96, hkl 1 0 2; 28.31 deg, d 3.152, rel. 57, hkl 2 2 -2; 30.40 deg, d 2.940, rel. 61, hkl 1 3 -1; 31.63 deg, d 2.829, rel. 32, hkl 1 3 -2; 34.04 deg, d 2.634, rel. 38, hkl 0 0 4; 37.09 deg, d 2.424, rel. 51, hkl 3 1 -1

Cell lengths 8.500, 9.400, 13.453 Å; angles 90.00, 128.46, 90.00 degrees
Space group P2_1/c (No. 14)
Unique sites:
1 K 0.218 0.101 0.246 x4
2 Dy 0.000 0.000 0.500 x2
3 Cu 0.500 0.000 0.000 x2
4 I 0.112 0.221 0.949 x4
5 I 0.246 0.661 0.946 x4
6 I 0.390 0.030 0.782 x4

[13]
For DyIn3Cu8, a structure optimized by DFT (GGA-PBE) gives the calculated XRD peak list in this record (CuKα).
Peak positions follow from Bragg's law for the DFT cell and can differ from measured ones.

Largest 10 diffraction maxima, sorted by position, 2θ = 5–70°:
35.02 deg, d 2.562, rel. 53, hkl 0 1 8; 35.40 deg, d 2.535, rel. 52, hkl 1 1 0; 41.25 deg, d 2.188, rel. 55, hkl 1 0 10; 41.59 deg, d 2.171, rel. 100, hkl 1 1 6; 41.76 deg, d 2.163, rel. 51, hkl 2 0 2; 43.65 deg, d 2.074, rel. 34, hkl 0 2 4; 63.31 deg, d 1.469, rel. 18, hkl 1 2 8; 67.18 deg, d 1.393, rel. 11, hkl 2 0 14; 67.54 deg, d 1.387, rel. 24, hkl 2 1 10; 67.78 deg, d 1.382, rel. 22, hkl 3 0 6

Cell lengths 5.0707, 5.0707, 25.2422 Å; angles 90.00, 90.00, 120.00 degrees
Space group R3m (No. 160, hexagonal axes)
Unique sites:
1 Dy 0.0000 0.0000 0.0000 x3
2 In 0.0000 0.0000 0.1249 x3
3 In 0.0000 0.0000 0.5004 x3
4 In 0.0000 0.0000 0.6233 x3
5 Cu 0.0000 0.0000 0.3120 x3
6 Cu 0.0000 0.0000 0.8128 x3
7 Cu 0.0009 0.5005 0.0638 x9
8 Cu 0.1675 0.3350 0.8949 x9

[14]
For DyIn3Cu8, a structure optimized by DFT (GGA-PBE) gives the calculated XRD peak list in this record (CuKα).
Peak positions follow from Bragg's law for the DFT cell and can differ from measured ones.

Largest 10 diffraction maxima, sorted by position, 2θ = 5–70°:
29.34 deg, d 3.044, rel. 9, hkl 0 1 2; 35.38 deg, d 2.537, rel. 52, hkl 1 1 0; 37.98 deg, d 2.369, rel. 94, hkl 1 0 3; 41.09 deg, d 2.197, rel. 14, hkl 2 0 0; 41.53 deg, d 2.174, rel. 100, hkl 1 1 2; 42.52 deg, d 2.126, rel. 67, hkl 2 0 1; 42.86 deg, d 2.110, rel. 11, hkl 0 0 4; 63.52 deg, d 1.465, rel. 9, hkl 3 0 0; 65.24 deg, d 1.430, rel. 36, hkl 2 1 3; 67.72 deg, d 1.384, rel. 22, hkl 0 3 2

Cell lengths 5.0736, 5.0736, 8.4404 Å; angles 90.00, 90.00, 120.00 degrees
Space group P3m1 (No. 156)
Unique sites:
1 Dy 0.0000 0.0000 0.0000 x1
2 In 0.0000 0.0000 0.3735 x1
3 In 0.6667 0.3333 0.4938 x1
4 In 0.6667 0.3333 0.8642 x1
5 Cu 0.1653 0.3306 0.6795 x3
6 Cu 0.3333 0.6667 0.4324 x1
7 Cu 0.3333 0.6667 0.9268 x1
8 Cu 0.5006 0.0013 0.1856 x3